For LiAg4F7, the GGA-PBE geometry in Alexandria gives the calculated PXRD pattern in this record (Cu Kα X-rays).

Atomic structure:
```
data_LiAg4F7
_symmetry_space_group_name_H-M 'P 1'
_symmetry_Int_Tables_number 1
_symmetry_space_group_name_Hall 'P 1'
_cell_length_a 3.387
_cell_length_b 5.596
_cell_length_c 9.677
_cell_angle_alpha 106.80
_cell_angle_beta 95.75
_cell_angle_gamma 96.59
loop_
_atom_site_label
_atom_site_fract_x
_atom_site_fract_y
_atom_site_fract_z
_atom_site_occupancy
Li1 0.000 0.000 0.000 1
Ag1 0.095 0.195 0.416 1
Ag2 0.167 0.436 0.861 1
Ag3 0.502 0.825 0.622 1
Ag4 0.665 0.566 0.212 1
F1 0.084 0.241 0.202 1
F2 0.134 0.709 0.068 1
F3 0.139 0.195 0.640 1
F4 0.407 0.879 0.386 1
F5 0.480 0.164 0.938 1
F6 0.805 0.518 0.481 1
F7 0.832 0.711 0.798 1
```

Main lines, by angle (10 to 80 degrees two-theta):
- 16.7 deg, 5.296 Å, intensity 25, (0 1 0)
- 21.8 deg, 4.081 Å, intensity 43, (0 1 1)
- 28.9 deg, 3.085 Å, intensity 84, (0 1 -3)
- 29.4 deg, 3.038 Å, intensity 100, (0 1 2)
- 30.6 deg, 2.921 Å, intensity 43, (1 -1 1)
- 30.9 deg, 2.895 Å, intensity 52, (1 0 -2)
- 32.2 deg, 2.779 Å, intensity 54, (0 2 -1)
- 32.7 deg, 2.741 Å, intensity 73, (1 1 -1)
- 33.9 deg, 2.646 Å, intensity 46, (1 1 0)
- 43.0 deg, 2.102 Å, intensity 40, (-1 2 1)
- 51.1 deg, 1.789 Å, intensity 41, (-1 1 4)
- 55.2 deg, 1.665 Å, intensity 34, (0 3 -4)